The following is a calculated powder XRD pattern of MgTa2Fe2O8. It was derived from the PBE+U geometry in the Materials Project, using Cu Kα.
Neutral-atom scattering factors, no anomalous dispersion.

Top 10 peaks for 15° ≤ 2θ ≤ 90°, sorted by position:
h k l  2theta  Rel. int.
1 1 0  18.96  55
0 2 1  26.06  100
1 3 -1  26.70  38
2 2 -1  31.48  48
0 4 1  34.38  27
2 0 0  36.16  17
2 4 -1  38.75  56
0 0 2  46.33  22
2 6 0  53.95  21
2 6 -2  55.02  20

Structural model:
Cell: 6.226 13.982 4.912 Å, 90.00 127.07 90.00°
Space group C2 (No. 5)
One atom of each set of equivalent atoms:
Mg  0.000  0.000  0.000 [2 per cell]
Ta  0.000  0.163  0.500 [2 per cell]
Ta  0.000  0.330  0.000 [2 per cell]
Fe  0.000  0.666  0.500 [2 per cell]
Fe  0.000  0.806  0.000 [2 per cell]
O  0.194  0.077  0.427 [4 per cell]
O  0.227  0.282  0.475 [4 per cell]
O  0.239  0.204  0.983 [4 per cell]
O  0.243  0.410  0.001 [4 per cell]

The following is a calculated powder XRD pattern of MgTi2Fe2O6. It was derived from the PBE+U geometry in the Materials Project, using Cu Kα.
Neutral-atom scattering factors, no anomalous dispersion.

Top 10 peaks for 15° ≤ 2θ ≤ 90°, sorted by position:
h k l  2theta  Rel. int.
0 1 0  22.71  26
-1 1 1  34.69  100
2 1 0  34.94  84
1 -1 1  49.40  28
1 2 -1  49.70  43
2 1 2  49.95  43
1 2 3  50.34  28
2 1 -2  50.48  29
-1 1 3  50.58  35
3 3 1  62.53  45

Structural model:
Cell: 5.133 5.169 5.903 Å, 64.56 89.55 60.32°
Space group P-1 (No. 2)
One atom of each set of equivalent atoms:
Mg  0.000  0.000  0.000 [1 per cell]
Ti  0.339  0.313  0.045 [2 per cell]
Fe  0.177  0.660  0.509 [2 per cell]
O  0.059  0.534  0.234 [2 per cell]
O  0.248  0.803  0.774 [2 per cell]
O  0.410  0.845  0.217 [2 per cell]

The following is a calculated powder XRD pattern of MgTi2Fe2O6. It was derived from the PBE+U geometry in the Materials Project, using Cu Kα.
Neutral-atom scattering factors, no anomalous dispersion.

Top 10 peaks for 15° ≤ 2θ ≤ 90°, sorted by position:
h k l  2theta  Rel. int.
-1 1 1  29.91  39
0 1 -2  31.46  33
1 1 -1  34.30  100
1 -2 1  34.44  71
2 -1 0  34.83  67
1 0 -2  35.59  33
1 -1 2  36.40  29
-1 2 1  48.24  39
1 1 -3  50.98  49
3 -3 1  62.29  29

Structural model:
Cell: 5.154 5.220 5.789 Å, 113.43 91.40 119.40°
Space group P1 (No. 1)
One atom of each set of equivalent atoms:
Mg  0.000  0.000  0.000 [1 per cell]
Ti  0.177  0.365  0.524 [1 per cell]
Ti  0.808  0.634  0.472 [1 per cell]
Fe  0.362  0.729  0.088 [1 per cell]
Fe  0.628  0.266  0.900 [1 per cell]
O  0.042  0.455  0.228 [1 per cell]
O  0.211  0.152  0.740 [1 per cell]
O  0.418  0.200  0.249 [1 per cell]
O  0.576  0.797  0.757 [1 per cell]
O  0.798  0.867  0.273 [1 per cell]
O  0.951  0.550  0.759 [1 per cell]

The following is a calculated powder XRD pattern of MgTi2Fe4O10. It was derived from the PBE+U geometry in the Materials Project, using Cu Kα.
Neutral-atom scattering factors, no anomalous dispersion.

Top 10 peaks for 15° ≤ 2θ ≤ 90°, sorted by position:
h k l  2theta  Rel. int.
0 0 1  17.22  20
1 0 -1  25.03  80
1 1 -1  26.53  19
1 2 -1  30.64  32
0 3 1  31.53  100
1 3 0  36.52  18
0 2 2  39.20  38
0 3 2  44.12  21
2 0 -1  47.98  54
0 6 0  53.89  18

Structural model:
Cell: 3.792 10.202 5.480 Å, 90.00 110.02 90.00°
Space group Pm (No. 6)
One atom of each set of equivalent atoms:
Mg  0.000  0.000  0.000 [1 per cell]
Ti  0.287  0.000  0.589 [1 per cell]
Ti  0.670  0.500  0.385 [1 per cell]
Fe  0.359  0.318  0.763 [2 per cell]
Fe  0.631  0.199  0.287 [2 per cell]
O  0.141  0.134  0.312 [2 per cell]
O  0.236  0.500  0.517 [1 per cell]
O  0.416  0.129  0.879 [2 per cell]
O  0.532  0.378  0.112 [2 per cell]
O  0.780  0.000  0.590 [1 per cell]
O  0.794  0.329  0.632 [2 per cell]